AuF4: simulated PXRD pattern (λ = 1.5418 Å (Cu Kα)), based on DFT lattice parameters and positions (GGA-PBE).
Intensities are scaled so that the largest is 100.

Top 8 peaks for 10 to 90 degrees two-theta, sorted by position:
2θ (°)	Rel. int.
22.21	100
22.95	41
30.51	22
38.49	17
39.85	32
46.89	11
49.54	12
52.82	12

Cell: 7.7510 7.7506 5.8603 Å, 90.00 90.22 90.00°
Space group C2/c (No. 15)
Symmetry-distinct sites (fractional):
Au (0.2500, 0.2500, 0.0000)
F (0.0077, 0.1996, 0.0000)
F (0.1999, 0.4923, 0.0122)

=====

MgHAu2F11: simulated PXRD pattern (λ = 1.5418 Å (Cu Kα)), based on DFT lattice parameters and positions (GGA-PBE).
Intensities are scaled so that the largest is 100.

Top 8 peaks for 10 to 90 degrees two-theta, sorted by position:
2θ (°)	Rel. int.
16.87	56
19.17	58
19.29	100
20.24	50
22.31	78
23.85	71
24.13	55
29.09	54

Cell: 5.4267 15.9395 10.5141 Å, 90.00 90.47 90.00°
Space group P2_1/c (No. 14)
Symmetry-distinct sites (fractional):
Mg (0.0485, 0.2351, 0.1167)
H (0.0046, 0.5889, 0.9088)
Au (0.2805, 0.0250, 0.2417)
Au (0.4527, 0.7232, 0.6326)
F (0.0106, 0.1470, 0.5553)
F (0.0219, 0.5058, 0.8661)
F (0.0580, 0.1131, 0.1742)
F (0.1414, 0.7420, 0.7228)
F (0.1417, 0.5562, 0.6234)
F (0.2392, 0.2030, 0.9598)
F (0.2691, 0.7090, 0.4725)
F (0.3621, 0.2347, 0.7064)
F (0.4198, 0.1054, 0.3630)
F (0.4711, 0.5557, 0.3791)
F (0.4880, 0.5630, 0.8086)

=====

H3AuSeF: simulated PXRD pattern (λ = 1.5418 Å (Cu Kα)), based on DFT lattice parameters and positions (GGA-PBE).
Intensities are scaled so that the largest is 100.

Top 8 peaks for 10 to 90 degrees two-theta, sorted by position:
2θ (°)	Rel. int.
16.25	100
19.46	28
24.79	40
29.70	29
29.88	32
30.35	23
31.70	22
39.50	31

Cell: 10.9091 5.0226 3.5910 Å, 90.00 90.36 90.00°
Space group Cm (No. 8)
Symmetry-distinct sites (fractional):
H (0.0000, 0.0000, 0.0000)
H (0.1092, 0.5000, 0.8535)
H (0.3500, 0.0000, 0.7454)
Au (0.0015, 0.0000, 0.5022)
Se (0.0470, 0.5000, 0.4808)
F (0.2787, 0.0000, 0.9006)

=====

H3AuSeF: simulated PXRD pattern (λ = 1.5418 Å (Cu Kα)), based on DFT lattice parameters and positions (GGA-PBE).
Intensities are scaled so that the largest is 100.

Top 8 peaks for 10 to 90 degrees two-theta, sorted by position:
2θ (°)	Rel. int.
10.35	100
20.79	22
21.43	8
28.88	7
31.75	9
32.36	9
34.57	8
38.75	6

Cell: 2.8354 4.6517 8.6016 Å, 91.93 96.15 90.88°
Space group P1 (No. 1)
Symmetry-distinct sites (fractional):
H (0.0000, 0.0000, 0.0000)
H (0.1572, 0.0778, 0.9497)
H (0.3762, 0.5135, 0.1715)
Au (0.3056, 0.9744, 0.5431)
Se (0.3377, 0.4805, 0.6391)
F (0.7066, 0.5562, 0.1774)

=====

H3AuSeF: simulated PXRD pattern (λ = 1.5418 Å (Cu Kα)), based on DFT lattice parameters and positions (GGA-PBE).
Intensities are scaled so that the largest is 100.

Top 8 peaks for 10 to 90 degrees two-theta, sorted by position:
2θ (°)	Rel. int.
11.55	100
19.08	39
25.12	45
25.46	26
32.38	16
34.81	15
35.03	16
39.05	21

Cell: 2.7871 4.8954 8.0349 Å, 72.71 85.37 83.26°
Space group P1 (No. 1)
Symmetry-distinct sites (fractional):
H (0.0000, 0.0000, 0.0000)
H (0.2415, 0.9793, 0.5257)
H (0.7430, 0.3656, 0.2705)
Au (0.1687, 0.4480, 0.3866)
Se (0.2777, 0.6748, 0.6489)
F (0.6649, 0.0495, 0.9796)

=====

H3AuSeF: simulated PXRD pattern (λ = 1.5418 Å (Cu Kα)), based on DFT lattice parameters and positions (GGA-PBE).
Intensities are scaled so that the largest is 100.

Top 8 peaks for 10 to 90 degrees two-theta, sorted by position:
2θ (°)	Rel. int.
10.68	100
21.46	26
24.72	8
32.43	7
35.18	8
35.30	7
35.67	18
50.69	7

Cell: 3.6038 3.6473 8.3936 Å, 99.33 90.40 90.12°
Space group P1 (No. 1)
Symmetry-distinct sites (fractional):
H (0.0000, 0.0000, 0.0000)
H (0.0377, 0.8693, 0.0595)
H (0.2931, 0.2582, 0.1442)
Au (0.5188, 0.6712, 0.5760)
Se (0.0196, 0.1936, 0.6365)
F (0.4494, 0.4627, 0.1846)

=====

HfRuAu2F: simulated PXRD pattern (λ = 1.5418 Å (Cu Kα)), based on DFT lattice parameters and positions (GGA-PBE).
Intensities are scaled so that the largest is 100.

Top 8 peaks for 10 to 90 degrees two-theta, sorted by position:
2θ (°)	Rel. int.
17.73	57
18.52	34
31.44	100
35.91	71
37.54	32
51.70	25
52.93	47
61.77	30

Cell: 5.0012 5.0012 4.7916 Å, 90.00 90.00 90.00°
Space group P4/mmm (No. 123)
Symmetry-distinct sites (fractional):
Hf (0.0000, 0.0000, 0.0000)
Ru (0.0000, 0.0000, 0.5000)
Au (0.0000, 0.5000, 0.5000)
F (0.5000, 0.5000, 0.0000)

=====

HgAuF: simulated PXRD pattern (λ = 1.5418 Å (Cu Kα)), based on DFT lattice parameters and positions (GGA-PBE).
Intensities are scaled so that the largest is 100.

Top 8 peaks for 10 to 90 degrees two-theta, sorted by position:
2θ (°)	Rel. int.
23.22	44
37.58	100
40.81	58
47.48	7
56.67	31
72.16	31
74.29	10
75.46	19

Cell: 4.4226 4.4226 3.0655 Å, 90.00 90.00 120.00°
Space group P3m1 (No. 156)
Symmetry-distinct sites (fractional):
Hg (0.0000, 0.0000, 0.0000)
Au (0.3333, 0.6667, 0.4993)
F (0.6667, 0.3333, 0.5021)